(1)
The following is a theoretical PXRD pattern of SrPdAu6. It was derived from a DFT-relaxed cell (PBE, Alexandria), using Cu Ka.
Kinematic intensities with the Lorentz-polarization factor, no thermal factor.

Principal peaks in the range 10° ≤ 2θ ≤ 80°, in order of falling intensity:
| 2θ/deg | d/Å | I/Imax |
| --- | --- | --- |
| 36.9 | 2.433 | 100 |
| 40.6 | 2.221 | 43 |
| 61.4 | 1.509 | 23 |
| 64.0 | 1.454 | 23 |
| 32.9 | 2.720 | 19 |
| 58.8 | 1.571 | 14 |
| 69.0 | 1.360 | 12 |
| 23.1 | 3.847 | 10 |
| 78.6 | 1.217 | 6 |
| 53.2 | 1.721 | 2 |
| 47.3 | 1.924 | 2 |
| 73.9 | 1.282 | 1 |

Structural model:
```
SrPdAu6
1.0
5.4410 0.0000 0.0000
0.0000 5.4410 0.0000
0.0000 0.0000 5.4410
Sr Pd Au
1 1 6
Cartesian
0.0000 0.0000 0.0000
2.7205 2.7205 2.7205
0.0000 1.3861 2.7205
0.0000 4.0549 2.7205
1.3861 2.7205 0.0000
2.7205 0.0000 1.3861
2.7205 0.0000 4.0549
4.0549 2.7205 0.0000
```

***

(2)
The following is a theoretical PXRD pattern of TmAsPb2O6. It was derived from a DFT-relaxed cell (PBE, Alexandria), using Cu Ka.
Kinematic intensities with the Lorentz-polarization factor, no thermal factor.

Principal peaks in the range 10° ≤ 2θ ≤ 80°, in order of falling intensity:
| 2θ/deg | d/Å | I/Imax |
| --- | --- | --- |
| 31.2 | 2.866 | 100 |
| 26.9 | 3.313 | 70 |
| 41.7 | 2.168 | 34 |
| 36.5 | 2.459 | 26 |
| 53.0 | 1.729 | 25 |
| 55.5 | 1.655 | 24 |
| 65.1 | 1.433 | 21 |
| 48.8 | 1.866 | 17 |
| 59.1 | 1.564 | 13 |
| 17.1 | 5.189 | 13 |
| 21.2 | 4.186 | 12 |
| 71.8 | 1.315 | 11 |

Structural model:
```
TmAsPb2O6
1.0
2.8662 1.6548 10.3782
-2.8662 1.6548 10.3782
0.0000 -3.3096 10.3782
Tm As Pb O
2 2 4 12
Cartesian
0.0000 0.0000 2.8076
0.0000 0.0000 28.3269
0.0000 0.0000 0.0000
0.0000 0.0000 15.5673
0.0000 0.0000 6.1195
0.0000 0.0000 10.9412
0.0000 0.0000 20.1933
0.0000 0.0000 25.0150
0.0000 -1.8002 9.2585
-1.5590 0.9001 9.2585
-1.3609 -0.7857 16.6022
0.0000 -1.5714 14.5323
-1.3609 0.7857 14.5323
-1.5590 -0.9001 21.8760
1.5590 0.9001 9.2586
1.3609 -0.7857 16.6022
0.0000 1.5714 16.6022
1.3609 0.7857 14.5323
1.5590 -0.9001 21.8760
0.0000 1.8002 21.8760
```

***

(3)
The following is a theoretical PXRD pattern of LiI2O6. It was derived from a DFT-relaxed cell (PBE, Alexandria), using Cu Ka.
Kinematic intensities with the Lorentz-polarization factor, no thermal factor.

Principal peaks in the range 10° ≤ 2θ ≤ 80°, in order of falling intensity:
| 2θ/deg | d/Å | I/Imax |
| --- | --- | --- |
| 26.2 | 3.402 | 100 |
| 19.1 | 4.639 | 33 |
| 49.9 | 1.829 | 28 |
| 43.0 | 2.104 | 22 |
| 33.5 | 2.678 | 22 |
| 55.5 | 1.655 | 19 |
| 58.8 | 1.570 | 9 |
| 59.8 | 1.546 | 9 |
| 41.0 | 2.203 | 9 |
| 79.3 | 1.209 | 9 |
| 76.4 | 1.246 | 7 |
| 69.4 | 1.354 | 6 |

Structural model:
```
LiI2O6
1.0
9.2772 0.0000 0.0000
-4.6386 8.0343 0.0000
0.0000 0.0000 5.0053
Li I O
3 6 18
Cartesian
0.0000 0.0000 0.0000
0.0000 5.3562 0.0833
4.6386 2.6781 2.4878
-1.4576 2.5735 4.8843
-1.6811 8.0098 4.8843
1.6562 2.8497 2.3625
5.9812 0.0095 2.3625
3.1387 5.4853 4.8843
6.2784 5.1751 2.3625
-0.2311 1.8137 1.0438
-1.6091 4.5243 1.3133
-2.9524 7.3276 1.0438
-0.2556 3.6247 3.9751
1.6759 0.7680 3.8101
-1.3718 6.4433 3.9751
1.5250 4.3786 1.3133
2.9505 1.9866 1.3474
0.0841 7.1657 1.3133
2.9849 3.4711 3.5272
1.6273 6.0006 3.9751
4.7787 0.8495 3.5272
6.0815 1.5619 1.3474
3.1835 6.9273 1.0438
4.8838 4.4858 1.3474
4.4658 6.1989 3.8101
6.1522 3.7137 3.5272
7.7741 1.0674 3.8101
```

***

(4)
The following is a theoretical PXRD pattern of Ni2HCl. It was derived from a DFT-relaxed cell (PBE, Alexandria), using Cu Ka.
Kinematic intensities with the Lorentz-polarization factor, no thermal factor.

Principal peaks in the range 10° ≤ 2θ ≤ 80°, in order of falling intensity:
| 2θ/deg | d/Å | I/Imax |
| --- | --- | --- |
| 34.4 | 2.609 | 100 |
| 45.9 | 1.978 | 58 |
| 36.0 | 2.498 | 30 |
| 57.8 | 1.595 | 23 |
| 54.7 | 1.679 | 18 |
| 40.2 | 2.245 | 12 |
| 69.3 | 1.356 | 11 |
| 44.8 | 2.024 | 9 |
| 62.3 | 1.491 | 9 |
| 55.0 | 1.670 | 8 |
| 70.0 | 1.344 | 8 |
| 79.3 | 1.208 | 8 |

Structural model:
```
Ni2HCl
1.0
-2.2674 2.2674 4.4895
2.2674 -2.2674 4.4895
2.2674 2.2674 -4.4895
Ni H Cl
4 2 2
Cartesian
3.4011 0.6554 -1.1224
0.6554 1.1337 1.1224
-1.1337 1.6120 3.3671
1.6120 1.1337 5.6118
0.0000 0.0000 0.0000
0.0000 2.2674 2.2447
2.2674 0.0000 2.2447
0.0000 0.0000 4.4895
```

***

(5)
The following is a theoretical PXRD pattern of Rb2ZnAgP2. It was derived from a DFT-relaxed cell (PBE, Alexandria), using Cu Ka.
Kinematic intensities with the Lorentz-polarization factor, no thermal factor.

Principal peaks in the range 10° ≤ 2θ ≤ 80°, in order of falling intensity:
| 2θ/deg | d/Å | I/Imax |
| --- | --- | --- |
| 30.0 | 2.983 | 100 |
| 10.9 | 8.108 | 94 |
| 41.0 | 2.202 | 82 |
| 30.6 | 2.921 | 65 |
| 30.9 | 2.894 | 64 |
| 36.2 | 2.478 | 57 |
| 36.5 | 2.461 | 56 |
| 33.1 | 2.703 | 38 |
| 53.7 | 1.707 | 37 |
| 23.0 | 3.870 | 36 |
| 54.1 | 1.696 | 21 |
| 53.9 | 1.702 | 21 |

Structural model:
```
Rb2ZnAgP2
1.0
-3.1313 8.1078 3.0977
3.1313 -8.1078 3.0977
3.1313 8.1078 -3.0977
Rb Zn Ag P
4 2 2 4
Cartesian
1.5073 2.7536 0.0000
1.5073 -2.7536 3.0977
1.6240 10.8614 0.0000
1.6240 5.3542 3.0977
3.1313 0.0000 1.5489
0.0000 8.1078 1.5489
0.0000 0.0000 1.5489
0.0000 0.0000 4.6466
4.5643 1.3612 0.0000
1.4330 6.7466 0.0000
1.6983 1.3612 3.0977
-1.4330 6.7466 3.0977
```

***

(6)
The following is a theoretical PXRD pattern of Sr11Ge4N6. It was derived from a DFT-relaxed cell (PBE, Alexandria), using Cu Ka.
Kinematic intensities with the Lorentz-polarization factor, no thermal factor.

Principal peaks in the range 10° ≤ 2θ ≤ 80°, in order of falling intensity:
| 2θ/deg | d/Å | I/Imax |
| --- | --- | --- |
| 30.9 | 2.894 | 100 |
| 34.6 | 2.590 | 38 |
| 28.8 | 3.095 | 29 |
| 52.4 | 1.746 | 25 |
| 59.8 | 1.548 | 19 |
| 33.2 | 2.697 | 18 |
| 28.2 | 3.166 | 15 |
| 59.4 | 1.555 | 12 |
| 64.4 | 1.447 | 11 |
| 48.7 | 1.869 | 10 |
| 38.1 | 2.361 | 10 |
| 39.7 | 2.270 | 10 |

Structural model:
```
Sr11Ge4N6
1.0
7.3257 0.0000 0.0000
0.0000 7.3257 0.0000
0.0000 0.0000 18.8919
Sr Ge N
22 8 12
Cartesian
0.2318 3.8946 2.4462
0.2318 7.0939 16.4457
0.5695 4.2324 11.3136
0.5695 6.7561 7.5784
1.8314 1.8314 0.0000
1.8314 1.8314 5.1659
1.8314 1.8314 13.7260
3.0933 4.2324 7.5784
3.0933 6.7561 11.3136
3.4310 3.8946 16.4457
3.4310 7.0939 2.4462
3.8946 0.2318 16.4457
3.8946 3.4310 2.4462
4.2324 0.5695 7.5784
4.2324 3.0933 11.3136
5.4943 5.4943 0.0000
5.4943 5.4943 5.1659
5.4943 5.4943 13.7260
6.7561 0.5695 11.3136
6.7561 3.0933 7.5784
7.0939 0.2318 2.4462
7.0939 3.4310 16.4457
1.8314 1.8314 9.4460
1.8314 5.4943 0.0000
1.8314 5.4943 4.8895
1.8314 5.4943 14.0024
5.4943 1.8314 0.0000
5.4943 1.8314 4.8895
5.4943 1.8314 14.0024
5.4943 5.4943 9.4460
0.7727 4.4355 5.9911
0.7727 6.5530 12.9009
1.8314 1.8314 2.7141
1.8314 1.8314 16.1778
2.8902 4.4355 12.9009
2.8902 6.5530 5.9911
4.4355 0.7727 12.9009
4.4355 2.8902 5.9911
5.4943 5.4943 2.7141
5.4943 5.4943 16.1778
6.5530 0.7727 5.9911
6.5530 2.8902 12.9009
```

***

(7)
The following is a theoretical PXRD pattern of Tm4FeI5. It was derived from a DFT-relaxed cell (PBE, Alexandria), using Cu Ka.
Kinematic intensities with the Lorentz-polarization factor, no thermal factor.

Principal peaks in the range 10° ≤ 2θ ≤ 80°, in order of falling intensity:
| 2θ/deg | d/Å | I/Imax |
| --- | --- | --- |
| 30.4 | 2.937 | 100 |
| 10.0 | 8.839 | 44 |
| 24.4 | 3.642 | 24 |
| 41.9 | 2.154 | 20 |
| 42.1 | 2.145 | 20 |
| 31.9 | 2.801 | 19 |
| 32.8 | 2.732 | 18 |
| 45.4 | 1.997 | 15 |
| 40.8 | 2.210 | 14 |
| 27.4 | 3.256 | 14 |
| 38.2 | 2.357 | 11 |
| 74.6 | 1.273 | 10 |

Structural model:
```
Tm4FeI5
1.0
10.9276 -1.9972 0.0000
10.9276 1.9972 0.0000
-0.0569 0.0000 8.8388
Tm Fe I
4 1 5
Cartesian
-0.0112 0.0000 1.7906
21.8095 0.0000 7.0482
8.4356 0.0000 8.8238
13.3627 0.0000 0.0150
10.9276 0.0000 0.0000
3.2436 0.0000 2.2124
3.2161 0.0000 6.6672
10.8991 0.0000 4.4194
18.5821 0.0000 2.1716
18.5547 0.0000 6.6264
```

***

(8)
The following is a theoretical PXRD pattern of Nd10Sm4Pu. It was derived from a DFT-relaxed cell (PBE, Alexandria), using Cu Ka.
Kinematic intensities with the Lorentz-polarization factor, no thermal factor.

Principal peaks in the range 10° ≤ 2θ ≤ 80°, in order of falling intensity:
| 2θ/deg | d/Å | I/Imax |
| --- | --- | --- |
| 31.7 | 2.825 | 100 |
| 30.7 | 2.908 | 98 |
| 33.5 | 2.672 | 43 |
| 40.3 | 2.241 | 42 |
| 30.0 | 2.980 | 39 |
| 27.6 | 3.232 | 33 |
| 65.7 | 1.422 | 28 |
| 57.0 | 1.616 | 27 |
| 44.0 | 2.057 | 26 |
| 35.5 | 2.529 | 17 |
| 55.2 | 1.663 | 17 |
| 20.5 | 4.324 | 16 |

Structural model:
```
Nd10Sm4Pu
1.0
-5.8169 5.8169 3.8866
5.8169 -5.8169 3.8866
5.8169 5.8169 -3.8866
Nd Sm Pu
10 4 1
Cartesian
5.8169 3.3620 -2.1884
3.3620 5.8169 -2.1884
2.4549 0.0000 1.6982
5.8169 0.0000 1.9433
0.0000 2.4549 1.6982
5.8169 3.3620 2.1884
0.0000 5.8169 1.9433
3.3620 5.8169 2.1884
2.4549 0.0000 6.0750
0.0000 2.4549 6.0750
3.1154 3.1154 0.0000
2.7015 -2.7015 3.8866
-2.7015 2.7015 3.8866
2.7015 2.7015 3.8866
0.0000 0.0000 3.8866
```